# Rb2HgAsF6
Calculated powder XRD pattern, Cu Ka. Input: DFT lattice parameters and positions (PBE).

Structural model:
a b c (Å): 6.2559 6.2559 6.2559
angles (deg): 60.00 60.00 60.00
Fractional coordinates of all 10 atoms:
Rb1 0.2500 0.2500 0.2500
Rb2 0.7500 0.7500 0.7500
Hg1 0.0000 0.0000 0.0000
As1 0.5000 0.5000 0.5000
F1 0.2747 0.2747 0.7253
F2 0.2747 0.7253 0.2747
F3 0.2747 0.7253 0.7253
F4 0.7253 0.2747 0.2747
F5 0.7253 0.2747 0.7253
F6 0.7253 0.7253 0.2747

Largest 12 diffraction maxima, in order of falling intensity, 10° ≤ 2θ ≤ 90°:
2θ = 28.5°, I 1000
2θ = 50.5°, I 406
2θ = 40.8°, I 347
2θ = 81.4°, I 226
2θ = 59.1°, I 216
2θ = 66.9°, I 195
2θ = 20.1°, I 145
2θ = 33.6°, I 126
2θ = 17.4°, I 122
2θ = 44.6°, I 80
2θ = 74.3°, I 70
2θ = 45.9°, I 62



# KMgBiPd
Calculated powder XRD pattern, Cu Ka. Input: DFT lattice parameters and positions (PBE).

Structural model:
a b c (Å): 7.3159 7.3159 7.3159
angles (deg): 90.00 90.00 90.00
Fractional coordinates of all 16 atoms:
K1 0.0000 0.0000 0.0000
K2 0.0000 0.5000 0.5000
K3 0.5000 0.0000 0.5000
K4 0.5000 0.5000 0.0000
Mg1 0.2500 0.2500 0.2500
Mg2 0.2500 0.7500 0.7500
Mg3 0.7500 0.2500 0.7500
Mg4 0.7500 0.7500 0.2500
Bi1 0.0000 0.0000 0.5000
Bi2 0.0000 0.5000 0.0000
Bi3 0.5000 0.0000 0.0000
Bi4 0.5000 0.5000 0.5000
Pd1 0.2500 0.2500 0.7500
Pd2 0.2500 0.7500 0.2500
Pd3 0.7500 0.2500 0.2500
Pd4 0.7500 0.7500 0.7500

Largest 12 diffraction maxima, in order of falling intensity, 10° ≤ 2θ ≤ 90°:
2θ = 34.7°, I 1000
2θ = 21.0°, I 529
2θ = 62.2°, I 365
2θ = 40.9°, I 307
2θ = 49.9°, I 178
2θ = 83.6°, I 161
2θ = 54.7°, I 137
2θ = 73.2°, I 113
2θ = 77.1°, I 106
2θ = 24.3°, I 105
2θ = 66.4°, I 105
2θ = 56.2°, I 46



# NdAl
Calculated powder XRD pattern, Cu Ka. Input: DFT lattice parameters and positions (PBE).

Structural model:
a b c (Å): 5.9889 11.8285 5.7636
angles (deg): 90.00 90.00 90.00
Fractional coordinates of all 16 atoms:
Nd1 0.0951 0.1664 0.2500
Nd2 0.0951 0.3336 0.7500
Nd3 0.3360 0.0110 0.7500
Nd4 0.3360 0.4890 0.2500
Nd5 0.6640 0.5110 0.7500
Nd6 0.6640 0.9890 0.2500
Nd7 0.9049 0.6664 0.2500
Nd8 0.9049 0.8336 0.7500
Al1 0.1671 0.6015 0.7500
Al2 0.1671 0.8985 0.2500
Al3 0.4279 0.7500 0.0000
Al4 0.4279 0.7500 0.5000
Al5 0.5721 0.2500 0.0000
Al6 0.5721 0.2500 0.5000
Al7 0.8329 0.1015 0.7500
Al8 0.8329 0.3985 0.2500

Largest 12 diffraction maxima, in order of falling intensity, 10° ≤ 2θ ≤ 90°:
2θ = 31.3°, I 1000
2θ = 34.6°, I 943
2θ = 31.0°, I 481
2θ = 26.2°, I 360
2θ = 21.1°, I 323
2θ = 37.8°, I 318
2θ = 56.6°, I 315
2θ = 34.1°, I 288
2θ = 33.8°, I 258
2θ = 22.7°, I 203
2θ = 55.4°, I 198
2θ = 57.5°, I 181



# Er2TmSi4Au4
Calculated powder XRD pattern, Cu Ka. Input: DFT lattice parameters and positions (PBE).

Structural model:
a b c (Å): 8.1530 8.1530 8.1530
angles (deg): 149.67 129.76 59.82
Fractional coordinates of all 11 atoms:
Er1 0.1243 0.1243 0.0000
Er2 0.8757 0.8757 0.0000
Tm1 0.5000 0.0000 0.5000
Si1 0.1771 0.5000 0.6771
Si2 0.2843 0.7843 0.5000
Si3 0.7157 0.2157 0.5000
Si4 0.8229 0.5000 0.3229
Au1 0.1316 0.3342 0.7973
Au2 0.4631 0.6658 0.7973
Au3 0.5369 0.3342 0.2027
Au4 0.8684 0.6658 0.2027

Largest 12 diffraction maxima, in order of falling intensity, 10° ≤ 2θ ≤ 90°:
2θ = 34.0°, I 1000
2θ = 35.4°, I 678
2θ = 38.6°, I 603
2θ = 28.2°, I 529
2θ = 43.7°, I 442
2θ = 42.4°, I 441
2θ = 38.2°, I 418
2θ = 62.5°, I 308
2θ = 34.3°, I 235
2θ = 46.6°, I 215
2θ = 57.0°, I 210
2θ = 28.7°, I 205



# SmYCd4
Calculated powder XRD pattern, Cu Ka. Input: DFT lattice parameters and positions (PBE).

Structural model:
a b c (Å): 3.4088 4.9718 8.6178
angles (deg): 90.00 90.00 90.00
Fractional coordinates of all 6 atoms:
Sm1 0.0000 0.0000 0.0000
Y1 0.0000 0.5000 0.5000
Cd1 0.4968 0.0000 0.6642
Cd2 0.4969 0.5000 0.1693
Cd3 0.5032 0.0000 0.3358
Cd4 0.5031 0.5000 0.8307

Largest 12 diffraction maxima, in order of falling intensity, 10° ≤ 2θ ≤ 90°:
2θ = 33.5°, I 1000
2θ = 36.1°, I 903
2θ = 50.1°, I 314
2θ = 63.3°, I 304
2θ = 66.5°, I 287
2θ = 89.2°, I 194
2θ = 65.0°, I 154
2θ = 86.3°, I 130
2θ = 76.6°, I 95
2θ = 53.8°, I 93
2θ = 45.1°, I 91
2θ = 26.1°, I 70



# K2CdWS4
Calculated powder XRD pattern, Cu Ka. Input: DFT lattice parameters and positions (PBE).

Structural model:
a b c (Å): 10.8799 8.0321 7.6887
angles (deg): 90.00 134.77 90.00
Fractional coordinates of all 16 atoms:
K1 0.0000 0.0000 0.0000
K2 0.0000 0.2527 0.5000
K3 0.5000 0.5000 0.0000
K4 0.5000 0.7527 0.5000
Cd1 0.0000 0.7536 0.5000
Cd2 0.5000 0.2536 0.5000
W1 0.0000 0.4999 0.0000
W2 0.5000 0.9999 0.0000
S1 0.1541 0.6534 0.3406
S2 0.1867 0.3455 0.0328
S3 0.3133 0.8455 0.9672
S4 0.3459 0.1534 0.6594
S5 0.6541 0.1534 0.3406
S6 0.6867 0.8455 0.0328
S7 0.8133 0.3455 0.9672
S8 0.8459 0.6534 0.6594

Largest 12 diffraction maxima, in order of falling intensity, 10° ≤ 2θ ≤ 90°:
2θ = 27.6°, I 1000
2θ = 15.9°, I 961
2θ = 43.4°, I 316
2θ = 43.5°, I 312
2θ = 23.0°, I 251
2θ = 23.1°, I 249
2θ = 51.3°, I 218
2θ = 28.1°, I 214
2θ = 32.8°, I 185
2θ = 32.9°, I 184
2θ = 42.8°, I 159
2θ = 16.3°, I 112